Diffraction record for NaNdCu3Te4. The powder diffraction line list is theoretical, not measured: it uses a structure optimized by DFT (GGA-PBE) and copper Kα.

Principal peaks in the range 10 to 90 degrees two-theta, by angle:
2θ (°), d (Å), I (rel.)
13.51, 6.552, 29.0
23.52, 3.783, 83.5
30.51, 2.930, 19.6
38.87, 2.317, 100.0
45.94, 1.976, 41.0
56.15, 1.638, 16.7
61.71, 1.503, 16.7
70.39, 1.338, 33.1

Structure:
```
data_NaNdCu3Te4
_cell_length_a 6.5524
_cell_length_b 6.5524
_cell_length_c 6.5524
_cell_angle_alpha 90.00
_cell_angle_beta 90.00
_cell_angle_gamma 90.00
_space_group_name_H-M_alt 'P 1'
_space_group_IT_number 1
loop_
_space_group_symop_operation_xyz
'x,y,z'
loop_
_atom_site_label
_atom_site_type_symbol
_atom_site_fract_x
_atom_site_fract_y
_atom_site_fract_z
_atom_site_occupancy
Na1 Na 0.0000 0.0000 0.0000 1
Nd1 Nd 0.5000 0.5000 0.5000 1
Cu1 Cu 0.0000 0.5000 0.5000 1
Cu2 Cu 0.5000 0.0000 0.5000 1
Cu3 Cu 0.5000 0.5000 0.0000 1
Te1 Te 0.2478 0.2478 0.2478 1
Te2 Te 0.2478 0.7522 0.7522 1
Te3 Te 0.7522 0.2478 0.7522 1
Te4 Te 0.7522 0.7522 0.2478 1
```